1.
The following is a theoretical powder X-ray diffraction pattern of Na2BeSnSe4. It was derived from a cell relaxed with GGA-PBE, using CuKα.
No peak broadening, texture or thermal motion is included.

The 10 most intense peaks (10 to 90 degrees two-theta), low angle first:
2θ (°), I_rel, (hkl)
16.2, 46.4, 1 0 1
18.9, 9.3, 1 1 0
26.4, 100.0, 1 1 2
31.4, 24.3, 1 2 1
32.7, 15.2, 2 0 2
38.2, 25.6, 2 2 0
41.3, 19.3, 2 1 3
46.4, 33.2, 2 0 4
47.1, 24.0, 3 1 2
50.3, 15.2, 2 3 1

Structural model:
Cell: 6.656 6.656 9.678 Å, 90.00 90.00 90.00°
Space group I-4 (No. 82)
Inequivalent atoms, fractional coordinates:
Na  0.000  0.000  0.000 (multiplicity 2)
Na  0.000  0.500  0.250 (multiplicity 2)
Be  0.000  0.000  0.500 (multiplicity 2)
Sn  0.000  0.500  0.750 (multiplicity 2)
Se  0.188  0.769  0.609 (multiplicity 8)


2.
The following is a theoretical powder X-ray diffraction pattern of NaBeTlSe2. It was derived from a cell relaxed with GGA-PBE, using CuKα.
No peak broadening, texture or thermal motion is included.

The 10 most intense peaks (10 to 90 degrees two-theta), low angle first:
2θ (°), I_rel, (hkl)
12.9, 36.8, 1 0 0
19.1, 24.9, 0 1 1
20.1, 22.6, 1 1 0
23.6, 42.7, 1 0 -2
24.6, 100.0, 1 1 1
30.2, 40.2, 2 1 -1
30.6, 27.0, 2 0 -2
37.6, 20.0, 1 1 -3
38.1, 23.7, 0 1 3
38.9, 21.2, 2 0 2

Structural model:
Cell: 7.048 5.789 7.962 Å, 90.00 103.26 90.00°
Space group P2/c (No. 13)
Inequivalent atoms, fractional coordinates:
Na  0.000  0.009  0.250 (multiplicity 2)
Be  0.000  0.500  0.000 (multiplicity 2)
Tl  0.500  0.342  0.750 (multiplicity 2)
Se  0.222  0.272  0.044 (multiplicity 4)


3.
The following is a theoretical powder X-ray diffraction pattern of NaBe2SiTe4. It was derived from a cell relaxed with GGA-PBE, using CuKα.
No peak broadening, texture or thermal motion is included.

The 10 most intense peaks (10 to 90 degrees two-theta), low angle first:
2θ (°), I_rel, (hkl)
25.2, 100.0, 1 1 2
28.4, 10.3, 0 0 4
29.6, 25.7, 2 0 0
35.4, 11.7, 1 1 4
41.4, 26.8, 2 0 4
42.3, 16.1, 2 2 0
48.4, 8.7, 1 1 6
49.9, 28.9, 3 1 2
51.7, 7.3, 2 2 4
76.8, 7.9, 4 2 4

Structural model:
Cell: 6.045 6.045 12.574 Å, 90.00 90.00 90.00°
Space group I-42m (No. 121)
Inequivalent atoms, fractional coordinates:
Na  0.000  0.000  0.000 (multiplicity 2)
Be  0.000  0.500  0.250 (multiplicity 4)
Si  0.000  0.000  0.500 (multiplicity 2)
Te  0.236  0.236  0.353 (multiplicity 8)


4.
The following is a theoretical powder X-ray diffraction pattern of NaBeSn. It was derived from a cell relaxed with GGA-PBE, using CuKα.
No peak broadening, texture or thermal motion is included.

The 10 most intense peaks (10 to 90 degrees two-theta), low angle first:
2θ (°), I_rel, (hkl)
23.0, 28.9, 0 0 3
27.4, 100.0, 2 0 -1
27.7, 56.7, 1 1 -1
27.9, 27.0, 2 0 0
29.2, 28.7, 2 0 -2
30.8, 39.2, 0 0 4
34.2, 34.5, 1 1 -3
37.8, 39.4, 1 1 3
39.5, 32.1, 1 1 -4
48.3, 30.0, 3 1 -1

Structural model:
Cell: 6.527 3.782 11.842 Å, 90.00 101.14 90.00°
Space group Cm (No. 8)
Inequivalent atoms, fractional coordinates:
Na  0.000  0.000  0.000 (multiplicity 2)
Na  0.249  0.500  0.260 (multiplicity 2)
Be  0.041  0.500  0.630 (multiplicity 2)
Be  0.375  0.500  0.630 (multiplicity 2)
Sn  0.160  0.000  0.491 (multiplicity 2)
Sn  0.256  0.000  0.769 (multiplicity 2)


5.
The following is a theoretical powder X-ray diffraction pattern of Na2ZrBe. It was derived from a cell relaxed with GGA-PBE, using CuKα.
No peak broadening, texture or thermal motion is included.

The 10 most intense peaks (10 to 90 degrees two-theta), low angle first:
2θ (°), I_rel, (hkl)
19.8, 69.1, 1 0 1
21.2, 36.0, 2 0 0
29.2, 100.0, 2 1 1
30.2, 81.9, 2 2 0
36.4, 36.8, 3 0 1
37.1, 59.7, 1 1 2
43.2, 25.6, 4 0 0
48.6, 63.5, 3 1 2
57.7, 21.7, 4 3 1
67.0, 20.2, 5 1 2

Structural model:
Cell: 8.372 8.372 5.311 Å, 90.00 90.00 90.00°
Space group I-42d (No. 122)
Inequivalent atoms, fractional coordinates:
Na  0.192  0.250  0.125 (multiplicity 8)
Zr  0.000  0.000  0.500 (multiplicity 4)
Be  0.000  0.000  0.000 (multiplicity 4)


6.
The following is a theoretical powder X-ray diffraction pattern of Be23Nb6. It was derived from a cell relaxed with GGA-PBE, using CuKα.
No peak broadening, texture or thermal motion is included.

The 10 most intense peaks (10 to 90 degrees two-theta), low angle first:
2θ (°), I_rel, (hkl)
14.6, 77.7, 1 1 1
16.8, 56.5, 2 0 0
29.4, 93.4, 2 2 2
34.0, 44.9, 4 0 0
37.2, 57.6, 3 3 1
42.0, 42.3, 4 2 2
44.7, 100.0, 3 3 3
48.9, 26.0, 4 4 0
63.0, 32.4, 5 5 1
76.8, 30.5, 8 2 2

Structural model:
Cell: 10.536 10.536 10.536 Å, 90.00 90.00 90.00°
Space group Fm-3m (No. 225)
Inequivalent atoms, fractional coordinates:
Be  0.000  0.000  0.000 (multiplicity 4)
Be  0.000  0.250  0.250 (multiplicity 24)
Be  0.123  0.123  0.123 (multiplicity 32)
Be  0.177  0.177  0.323 (multiplicity 32)
Nb  0.000  0.000  0.303 (multiplicity 24)